No. 1
Ca7NiIr2O12: simulated powder XRD pattern (Cu Kα (λ = 1.5418 Å)), based on a DFT-relaxed cell (PBE+U, Alexandria).

a b c (Å): 9.3442 9.3442 11.1610
angles (deg): 90.00 90.00 120.00
Space group R32 (No. 155, hexagonal axes)
Unique sites:
Ca: 0.0000 0.0000 0.0000 [3 per cell]
Ca: 0.0000 0.3556 0.5000 [9 per cell]
Ca: 0.0000 0.6362 0.0000 [9 per cell]
Ni: 0.0000 0.0000 0.5000 [3 per cell]
Ir: 0.0000 0.0000 0.2518 [6 per cell]
O: 0.0304 0.1840 0.6358 [18 per cell]
O: 0.0314 0.8399 0.1456 [18 per cell]

Top 8 peaks for 10° ≤ 2θ ≤ 80°, low angle first:
2theta, I (rel.), (hkl)
19.00, 100.0, 1 1 0
19.32, 62.9, 0 1 2
33.21, 72.2, 3 0 0
39.22, 31.0, 0 2 4
43.46, 22.4, 3 1 2
43.92, 50.4, 2 1 4
52.31, 20.0, 1 3 4
59.84, 22.1, 3 2 4



No. 2
Ca2NiIrO6: simulated powder XRD pattern (Cu Kα (λ = 1.5418 Å)), based on a DFT-relaxed cell (PBE+U, Alexandria).

a b c (Å): 5.422 5.623 9.426
angles (deg): 90.00 124.86 90.00
Space group P2_1/c (No. 14)
Unique sites:
Ca: 0.233 0.060 0.248 [4 per cell]
Ni: 0.000 0.000 0.500 [2 per cell]
Ir: 0.500 0.000 0.000 [2 per cell]
O: 0.160 0.194 0.953 [4 per cell]
O: 0.259 0.712 0.948 [4 per cell]
O: 0.353 0.029 0.757 [4 per cell]

Top 8 peaks for 10° ≤ 2θ ≤ 80°, low angle first:
2theta, I (rel.), (hkl)
19.52, 61.3, 0 1 1
20.01, 55.6, 1 0 -2
22.78, 100.0, 1 1 -1
23.00, 45.7, 0 0 2
31.83, 48.0, 0 2 0
32.54, 95.7, 1 1 1
32.65, 95.3, 1 1 -3
46.54, 51.2, 2 2 -2